(1)
The following is a calculated powder XRD pattern of SrBeAl2Au5. It was derived from DFT lattice parameters and positions (GGA-PBE), using λ = 1.5418 Å (Cu Kα).
Neutral-atom scattering factors, no anomalous dispersion.

Structure:
```
data_SrBeAl2Au5
_chemical_formula_sum 'Sr2 Be2 Al4 Au10'
_symmetry_space_group_name_H-M 'I m m m'
_symmetry_Int_Tables_number 71
_symmetry_space_group_name_Hall '-I 2 2'
_cell_length_a 4.5294
_cell_length_b 7.2135
_cell_length_c 11.4491
_cell_angle_alpha 90.00
_cell_angle_beta 90.00
_cell_angle_gamma 90.00
loop_
_atom_site_label
_atom_site_type_symbol
_atom_site_fract_x
_atom_site_fract_y
_atom_site_fract_z
_atom_site_occupancy
Sr1 Sr 0.0000 0.0000 0.0000 1
Be1 Be 0.0000 0.0000 0.5000 1
Al1 Al 0.0000 0.5000 0.2247 1
Au1 Au 0.0000 0.2005 0.3346 1
Au2 Au 0.0000 0.5000 0.0000 1
```

The 8 most intense peaks (10° ≤ 2θ ≤ 90°), in order of rising 2θ:
| Position (°2θ) | d/Å | Rel. int. |
| --- | --- | --- |
| 14.51 | 6.103 | 32 |
| 29.27 | 3.052 | 31 |
| 30.63 | 2.919 | 100 |
| 32.69 | 2.740 | 59 |
| 39.78 | 2.266 | 43 |
| 40.22 | 2.242 | 20 |
| 42.57 | 2.124 | 29 |
| 44.54 | 2.034 | 18 |

***

(2)
The following is a calculated powder XRD pattern of Ba3PuBi6. It was derived from DFT lattice parameters and positions (GGA-PBE), using λ = 1.5418 Å (Cu Kα).
Neutral-atom scattering factors, no anomalous dispersion.

Structure:
```
data_Ba3PuBi6
_chemical_formula_sum 'Ba18 Pu6 Bi36'
_symmetry_space_group_name_H-M 'R -3 c'
_symmetry_Int_Tables_number 167
_symmetry_space_group_name_Hall '-R 3 2"c'
_cell_length_a 13.8487
_cell_length_b 13.8487
_cell_length_c 13.9262
_cell_angle_alpha 90.00
_cell_angle_beta 90.00
_cell_angle_gamma 120.00
loop_
_atom_site_label
_atom_site_type_symbol
_atom_site_fract_x
_atom_site_fract_y
_atom_site_fract_z
_atom_site_occupancy
Ba1 Ba 0.0000 0.4299 0.2500 1
Pu1 Pu 0.0000 0.0000 0.0000 1
Bi1 Bi 0.0665 0.2066 0.3475 1
```

The 8 most intense peaks (10° ≤ 2θ ≤ 90°), in order of rising 2θ:
| Position (°2θ) | d/Å | Rel. int. |
| --- | --- | --- |
| 19.54 | 4.544 | 17 |
| 27.57 | 3.235 | 42 |
| 29.74 | 3.004 | 100 |
| 37.39 | 2.405 | 16 |
| 37.91 | 2.373 | 13 |
| 39.53 | 2.280 | 17 |
| 44.00 | 2.058 | 12 |
| 51.50 | 1.775 | 14 |

***

(3)
The following is a calculated powder XRD pattern of PaAlBi2O8. It was derived from DFT lattice parameters and positions (GGA-PBE), using λ = 1.5418 Å (Cu Kα).
Neutral-atom scattering factors, no anomalous dispersion.

Structure:
```
data_PaAlBi2O8
_chemical_formula_sum 'Pa2 Al2 Bi4 O16'
_symmetry_space_group_name_H-M 'C m m m'
_symmetry_Int_Tables_number 65
_symmetry_space_group_name_Hall '-C 2 2'
_cell_length_a 7.0514
_cell_length_b 7.0730
_cell_length_c 6.7815
_cell_angle_alpha 90.00
_cell_angle_beta 90.00
_cell_angle_gamma 90.00
loop_
_atom_site_label
_atom_site_type_symbol
_atom_site_fract_x
_atom_site_fract_y
_atom_site_fract_z
_atom_site_occupancy
Pa1 Pa 0.0000 0.0000 0.0000 1
Al1 Al 0.0000 0.0000 0.5000 1
Bi1 Bi 0.0000 0.5000 0.2677 1
O1 O 0.0000 0.1774 0.2669 1
O2 O 0.1912 0.5000 0.0000 1
O3 O 0.2257 0.5000 0.5000 1
```

The 8 most intense peaks (10° ≤ 2θ ≤ 90°), in order of rising 2θ:
| Position (°2θ) | d/Å | Rel. int. |
| --- | --- | --- |
| 22.11 | 4.021 | 31 |
| 25.22 | 3.531 | 100 |
| 31.90 | 2.805 | 88 |
| 35.97 | 2.497 | 28 |
| 42.62 | 2.121 | 14 |
| 48.83 | 1.865 | 69 |
| 60.58 | 1.528 | 16 |
| 62.12 | 1.494 | 20 |

***

(4)
The following is a calculated powder XRD pattern of Y4Ho8Sc. It was derived from DFT lattice parameters and positions (GGA-PBE), using λ = 1.5418 Å (Cu Kα).
Neutral-atom scattering factors, no anomalous dispersion.

Structure:
```
data_Y4Ho8Sc
_chemical_formula_sum 'Y12 Ho24 Sc3'
_symmetry_space_group_name_H-M 'R -3 m'
_symmetry_Int_Tables_number 166
_symmetry_space_group_name_Hall '-R 3 2"'
_cell_length_a 7.4509
_cell_length_b 7.4509
_cell_length_c 25.5401
_cell_angle_alpha 90.00
_cell_angle_beta 90.00
_cell_angle_gamma 120.00
loop_
_atom_site_label
_atom_site_type_symbol
_atom_site_fract_x
_atom_site_fract_y
_atom_site_fract_z
_atom_site_occupancy
Y1 Y 0.0000 0.0000 0.0000 1
Y2 Y 0.0000 0.5000 0.0000 1
Ho1 Ho 0.0000 0.0000 0.2219 1
Ho2 Ho 0.0430 0.5215 0.7759 1
Sc1 Sc 0.0000 0.0000 0.5000 1
```

The 8 most intense peaks (10° ≤ 2θ ≤ 90°), in order of rising 2θ:
| Position (°2θ) | d/Å | Rel. int. |
| --- | --- | --- |
| 27.87 | 3.201 | 20 |
| 28.54 | 3.128 | 37 |
| 31.06 | 2.880 | 100 |
| 31.53 | 2.838 | 44 |
| 32.83 | 2.728 | 68 |
| 37.20 | 2.417 | 22 |
| 48.90 | 1.863 | 34 |
| 59.35 | 1.557 | 33 |

***

(5)
The following is a calculated powder XRD pattern of Na4Au2F. It was derived from DFT lattice parameters and positions (GGA-PBE), using λ = 1.5418 Å (Cu Kα).
Neutral-atom scattering factors, no anomalous dispersion.

Structure:
```
data_Na4Au2F
_chemical_formula_sum 'Na8 Au4 F2'
_symmetry_space_group_name_H-M 'I 4/m m m'
_symmetry_Int_Tables_number 139
_symmetry_space_group_name_Hall '-I 4 2'
_cell_length_a 4.5209
_cell_length_b 4.5209
_cell_length_c 15.5636
_cell_angle_alpha 90.00
_cell_angle_beta 90.00
_cell_angle_gamma 90.00
loop_
_atom_site_label
_atom_site_type_symbol
_atom_site_fract_x
_atom_site_fract_y
_atom_site_fract_z
_atom_site_occupancy
Na1 Na 0.0000 0.0000 0.1663 1
Na2 Na 0.0000 0.5000 0.0000 1
Au1 Au 0.0000 0.0000 0.3612 1
F1 F 0.0000 0.0000 0.0000 1
```

The 8 most intense peaks (10° ≤ 2θ ≤ 90°), in order of rising 2θ:
| Position (°2θ) | d/Å | Rel. int. |
| --- | --- | --- |
| 20.46 | 4.341 | 78 |
| 22.86 | 3.891 | 37 |
| 26.15 | 3.408 | 100 |
| 27.91 | 3.197 | 75 |
| 36.37 | 2.470 | 80 |
| 39.88 | 2.260 | 45 |
| 45.46 | 1.995 | 29 |
| 48.31 | 1.884 | 39 |

***

(6)
The following is a calculated powder XRD pattern of Pr2ZrSe5. It was derived from DFT lattice parameters and positions (GGA-PBE), using λ = 1.5418 Å (Cu Kα).
Neutral-atom scattering factors, no anomalous dispersion.

Structure:
```
data_Pr2ZrSe5
_chemical_formula_sum 'Pr8 Zr4 Se20'
_symmetry_space_group_name_H-M 'C m c m'
_symmetry_Int_Tables_number 63
_symmetry_space_group_name_Hall '-C 2c 2'
_cell_length_a 5.5955
_cell_length_b 14.3176
_cell_length_c 13.6469
_cell_angle_alpha 90.00
_cell_angle_beta 90.00
_cell_angle_gamma 90.00
loop_
_atom_site_label
_atom_site_type_symbol
_atom_site_fract_x
_atom_site_fract_y
_atom_site_fract_z
_atom_site_occupancy
Pr1 Pr 0.0000 0.1461 0.0636 1
Zr1 Zr 0.0000 0.1872 0.7500 1
Se1 Se 0.0000 0.0487 0.6245 1
Se2 Se 0.0000 0.2722 0.2500 1
Se3 Se 0.0000 0.3037 0.5885 1
```

The 8 most intense peaks (10° ≤ 2θ ≤ 90°), in order of rising 2θ:
| Position (°2θ) | d/Å | Rel. int. |
| --- | --- | --- |
| 12.36 | 7.159 | 52 |
| 17.01 | 5.212 | 100 |
| 23.17 | 3.839 | 78 |
| 31.81 | 2.813 | 69 |
| 31.99 | 2.798 | 72 |
| 39.87 | 2.261 | 37 |
| 40.57 | 2.224 | 51 |
| 45.74 | 1.984 | 49 |

***

Copy entry 4 word for word.
The following is a calculated powder XRD pattern of Y4Ho8Sc. It was derived from DFT lattice parameters and positions (GGA-PBE), using λ = 1.5418 Å (Cu Kα).
Neutral-atom scattering factors, no anomalous dispersion.

Structure:
```
data_Y4Ho8Sc
_chemical_formula_sum 'Y12 Ho24 Sc3'
_symmetry_space_group_name_H-M 'R -3 m'
_symmetry_Int_Tables_number 166
_symmetry_space_group_name_Hall '-R 3 2"'
_cell_length_a 7.4509
_cell_length_b 7.4509
_cell_length_c 25.5401
_cell_angle_alpha 90.00
_cell_angle_beta 90.00
_cell_angle_gamma 120.00
loop_
_atom_site_label
_atom_site_type_symbol
_atom_site_fract_x
_atom_site_fract_y
_atom_site_fract_z
_atom_site_occupancy
Y1 Y 0.0000 0.0000 0.0000 1
Y2 Y 0.0000 0.5000 0.0000 1
Ho1 Ho 0.0000 0.0000 0.2219 1
Ho2 Ho 0.0430 0.5215 0.7759 1
Sc1 Sc 0.0000 0.0000 0.5000 1
```

The 8 most intense peaks (10° ≤ 2θ ≤ 90°), in order of rising 2θ:
| Position (°2θ) | d/Å | Rel. int. |
| --- | --- | --- |
| 27.87 | 3.201 | 20 |
| 28.54 | 3.128 | 37 |
| 31.06 | 2.880 | 100 |
| 31.53 | 2.838 | 44 |
| 32.83 | 2.728 | 68 |
| 37.20 | 2.417 | 22 |
| 48.90 | 1.863 | 34 |
| 59.35 | 1.557 | 33 |